Record 1
The following is a theoretical powder XRD pattern of K2LaAuO4. It was derived from the GGA-PBE geometry in Alexandria, using copper Kα.
Intensities are scaled so that the largest is 100.

Structural model:
a = 6.3736 Å, b = 6.3736 Å, c = 7.1260 Å
α = 90.00°, β = 90.00°, γ = 90.00°
Positions (direct):
K (0.0000, 0.0000, 0.0000)
K (0.0000, 0.5000, 0.2500)
K (0.5000, 0.0000, 0.7500)
K (0.5000, 0.5000, 0.5000)
La (0.0000, 0.5000, 0.7500)
La (0.5000, 0.0000, 0.2500)
Au (0.0000, 0.0000, 0.5000)
Au (0.5000, 0.5000, 0.0000)
O (0.1641, 0.7271, 0.5373)
O (0.2271, 0.3359, 0.9627)
O (0.2729, 0.1641, 0.4627)
O (0.3359, 0.7729, 0.0373)
O (0.6641, 0.2271, 0.0373)
O (0.7271, 0.8359, 0.4627)
O (0.7729, 0.6641, 0.9627)
O (0.8359, 0.2729, 0.5373)

Main lines, in order of rising 2θ (10° ≤ 2θ ≤ 90°):
- 2θ = 18.68°, d = 4.751 Å, rel. 82
- 2θ = 28.00°, d = 3.187 Å, rel. 56
- 2θ = 32.02°, d = 2.795 Å, rel. 100
- 2θ = 33.87°, d = 2.647 Å, rel. 31
- 2θ = 40.01°, d = 2.253 Å, rel. 31
- 2θ = 52.14°, d = 1.754 Å, rel. 53
- 2θ = 53.40°, d = 1.716 Å, rel. 13
- 2θ = 59.44°, d = 1.555 Å, rel. 15
- 2θ = 65.49°, d = 1.425 Å, rel. 13
- 2θ = 81.63°, d = 1.179 Å, rel. 13



Record 2
The following is a theoretical powder XRD pattern of K3LiAu4. It was derived from the GGA-PBE geometry in Alexandria, using copper Kα.
Intensities are scaled so that the largest is 100.

Structural model:
a = 6.4640 Å, b = 6.4882 Å, c = 7.3896 Å
α = 110.73°, β = 106.32°, γ = 105.36°
Positions (direct):
K (0.0000, 0.0000, 0.0000)
K (0.1049, 0.5139, 0.6325)
K (0.5522, 0.7565, 0.3159)
Li (0.5521, 0.2557, 0.8162)
Au (0.1522, 0.9741, 0.5043)
Au (0.5170, 0.3439, 0.5029)
Au (0.5885, 0.1708, 0.1312)
Au (0.9522, 0.5393, 0.1273)

Main lines, in order of rising 2θ (10° ≤ 2θ ≤ 90°):
- 2θ = 14.09°, d = 6.286 Å, rel. 55
- 2θ = 17.24°, d = 5.143 Å, rel. 100
- 2θ = 21.75°, d = 4.087 Å, rel. 82
- 2θ = 22.65°, d = 3.926 Å, rel. 32
- 2θ = 28.40°, d = 3.143 Å, rel. 38
- 2θ = 31.60°, d = 2.831 Å, rel. 64
- 2θ = 34.20°, d = 2.622 Å, rel. 55
- 2θ = 36.32°, d = 2.474 Å, rel. 28
- 2θ = 37.07°, d = 2.425 Å, rel. 43
- 2θ = 41.65°, d = 2.168 Å, rel. 34



Record 3
The following is a theoretical powder XRD pattern of KLiAuO2. It was derived from the GGA-PBE geometry in Alexandria, using copper Kα.
Intensities are scaled so that the largest is 100.

Structural model:
a = 6.3534 Å, b = 6.3534 Å, c = 5.3942 Å
α = 90.00°, β = 90.00°, γ = 130.84°
Positions (direct):
K (0.2500, 0.7500, 0.8039)
K (0.7500, 0.2500, 0.1961)
Li (0.2500, 0.2500, 0.0000)
Li (0.7500, 0.7500, 0.0000)
Au (0.0000, 0.0000, 0.5000)
Au (0.5000, 0.5000, 0.5000)
O (0.0950, 0.9050, 0.1892)
O (0.4050, 0.5950, 0.1892)
O (0.5950, 0.4050, 0.8108)
O (0.9050, 0.0950, 0.8108)

Main lines, in order of rising 2θ (10° ≤ 2θ ≤ 90°):
- 2θ = 15.34°, d = 5.778 Å, rel. 88
- 2θ = 16.43°, d = 5.394 Å, rel. 67
- 2θ = 22.55°, d = 3.943 Å, rel. 100
- 2θ = 30.96°, d = 2.889 Å, rel. 27
- 2θ = 33.92°, d = 2.643 Å, rel. 32
- 2θ = 35.24°, d = 2.547 Å, rel. 29
- 2θ = 36.78°, d = 2.444 Å, rel. 37
- 2θ = 41.12°, d = 2.195 Å, rel. 48
- 2θ = 49.72°, d = 1.834 Å, rel. 24
- 2θ = 50.89°, d = 1.794 Å, rel. 27



Record 4
The following is a theoretical powder XRD pattern of K2LiOsAu. It was derived from the GGA-PBE geometry in Alexandria, using copper Kα.
Intensities are scaled so that the largest is 100.

Structural model:
a = 6.1652 Å, b = 6.1652 Å, c = 4.8416 Å
α = 90.00°, β = 90.00°, γ = 90.00°
Positions (direct):
K (0.0000, 0.5000, 0.0000)
K (0.5000, 0.0000, 0.0000)
Li (0.0000, 0.0000, 0.5000)
Os (0.0000, 0.0000, 0.0000)
Au (0.5000, 0.5000, 0.5000)

Main lines, in order of rising 2θ (10° ≤ 2θ ≤ 90°):
- 2θ = 20.37°, d = 4.359 Å, rel. 44
- 2θ = 23.36°, d = 3.808 Å, rel. 100
- 2θ = 28.97°, d = 3.083 Å, rel. 46
- 2θ = 37.54°, d = 2.396 Å, rel. 60
- 2θ = 41.42°, d = 2.180 Å, rel. 17
- 2θ = 42.72°, d = 2.116 Å, rel. 14
- 2θ = 47.77°, d = 1.904 Å, rel. 23
- 2θ = 48.10°, d = 1.892 Å, rel. 15
- 2θ = 56.84°, d = 1.620 Å, rel. 14
- 2θ = 57.13°, d = 1.612 Å, rel. 18